Ca2PClO4: theoretical PXRD pattern (Cu Kα), based on the GGA-PBE geometry in Alexandria.
Lines closer than 0.1° are merged.

Main lines, low angle first (2θ from 15° to 90°):
two_theta	d_spacing	I (rel.)	hkl
20.6	4.302	83	1 1 1
25.3	3.518	63	0 2 0
31.2	2.865	77	2 1 0
32.8	2.728	100	0 0 4
44.4	2.039	68	1 2 4
45.9	1.976	68	2 1 4

Cell: 6.2714 7.0353 10.9116 Å, 90.00 90.00 90.00°
Element x y z (fractional)
Ca: 0.1297 0.0290 0.2500
Ca: 0.1297 0.4710 0.7500
Ca: 0.3652 0.7500 0.0000
Ca: 0.3652 0.7500 0.5000
Ca: 0.6348 0.2500 0.0000
Ca: 0.6348 0.2500 0.5000
Ca: 0.8703 0.5290 0.2500
Ca: 0.8703 0.9710 0.7500
P: 0.1392 0.2500 0.0000
P: 0.1392 0.2500 0.5000
P: 0.8608 0.7500 0.0000
P: 0.8608 0.7500 0.5000
Cl: 0.4759 0.7199 0.7500
Cl: 0.4759 0.7801 0.2500
Cl: 0.5241 0.2199 0.7500
Cl: 0.5241 0.2801 0.2500
O: 0.0076 0.7272 0.6149
O: 0.0076 0.7272 0.8851
O: 0.0076 0.7728 0.1149
O: 0.0076 0.7728 0.3851
O: 0.2855 0.0762 0.0238
O: 0.2855 0.0762 0.4762
O: 0.2855 0.4238 0.5238
O: 0.2855 0.4238 0.9762
O: 0.7145 0.5762 0.0238
O: 0.7145 0.5762 0.4762
O: 0.7145 0.9238 0.5238
O: 0.7145 0.9238 0.9762
O: 0.9924 0.2272 0.6149
O: 0.9924 0.2272 0.8851
O: 0.9924 0.2728 0.1149
O: 0.9924 0.2728 0.3851